This entry pairs a crystal structure of Li4Mn2VNi3P6O24 with its theoretical powder diffractogram. Radiation: λ = 1.5418 Å (Cu Kα). Structure: a cell relaxed with GGA+U.
Kinematic intensities with the Lorentz-polarization factor, no thermal factor.

abc: 8.509 8.533 8.614
angles: 118.67 91.32 118.90
Space group P1 (No. 1)
Symmetry-distinct sites (fractional):
1 Li 0.000 0.000 0.000 [1 per cell]
2 Li 0.115 0.596 0.458 [1 per cell]
3 Li 0.334 0.373 0.702 [1 per cell]
4 Li 0.651 0.689 0.379 [1 per cell]
5 Mn 0.288 0.547 0.112 [1 per cell]
6 Mn 0.756 0.478 0.595 [1 per cell]
7 V 0.422 0.201 0.944 [1 per cell]
8 Ni 0.111 0.789 0.241 [1 per cell]
9 Ni 0.625 0.788 0.751 [1 per cell]
10 Ni 0.908 0.198 0.441 [1 per cell]
11 P 0.025 0.969 0.633 [1 per cell]
12 P 0.225 0.699 0.844 [1 per cell]
13 P 0.301 0.292 0.338 [1 per cell]
14 P 0.523 0.002 0.550 [1 per cell]
15 P 0.708 0.700 0.062 [1 per cell]
16 P 0.826 0.285 0.134 [1 per cell]
17 O 0.025 0.478 0.177 [1 per cell]
18 O 0.030 0.131 0.597 [1 per cell]
19 O 0.048 0.561 0.669 [1 per cell]
20 O 0.093 0.840 0.498 [1 per cell]
21 O 0.156 0.113 0.846 [1 per cell]
22 O 0.160 0.357 0.389 [1 per cell]
23 O 0.167 0.648 0.991 [1 per cell]
24 O 0.189 0.046 0.224 [1 per cell]
25 O 0.305 0.939 0.922 [1 per cell]
26 O 0.374 0.859 0.352 [1 per cell]
27 O 0.378 0.655 0.796 [1 per cell]
28 O 0.393 0.376 0.210 [1 per cell]
29 O 0.450 0.116 0.704 [1 per cell]
30 O 0.470 0.409 0.516 [1 per cell]
31 O 0.492 0.488 0.978 [1 per cell]
32 O 0.553 0.849 0.571 [1 per cell]
33 O 0.662 0.290 0.055 [1 per cell]
34 O 0.700 0.889 0.208 [1 per cell]
35 O 0.708 0.194 0.571 [1 per cell]
36 O 0.755 0.702 0.888 [1 per cell]
37 O 0.809 0.078 0.989 [1 per cell]
38 O 0.810 0.315 0.324 [1 per cell]
39 O 0.826 0.794 0.618 [1 per cell]
40 O 0.839 0.679 0.161 [1 per cell]

Main lines, low angle first (2θ = 10–90°):
h k l  2θ (°)  I (rel.)
1 0 1  20.49  100
0 1 -2  20.63  55
0 2 -1  24.10  33
2 -1 1  24.57  61
-1 2 1  32.31  41
-2 1 2  32.51  38
1 -3 1  32.83  35
3 -2 1  33.50  45
2 1 0  35.80  36
1 -1 3  36.05  62